No. 1
The following is a computed X-ray powder pattern of AcPm5Dy5. It was derived from a structure optimized by DFT (PBE), using Cu Ka.
Intensities are scaled so that the largest is 100.

Structure:
a = 6.207 Å, b = 6.207 Å, c = 11.731 Å
α = 90.00°, β = 90.00°, γ = 120.00°
Fractional coordinates of all 11 atoms:
1 Ac 0.000 0.000 0.000
2 Pm 0.000 0.000 0.331
3 Pm 0.000 0.000 0.669
4 Pm 0.333 0.667 0.160
5 Pm 0.333 0.667 0.840
6 Pm 0.667 0.333 0.000
7 Dy 0.000 0.500 0.500
8 Dy 0.500 0.000 0.500
9 Dy 0.500 0.500 0.500
10 Dy 0.667 0.333 0.266
11 Dy 0.667 0.333 0.734

Top 10 peaks for 15° ≤ 2θ ≤ 90°, sorted by position:
d [Å], two_theta, Rel. int.
3.162, 28.2, 100
3.103, 28.8, 84
3.000, 29.8, 32
2.620, 34.2, 25
2.574, 34.8, 28
2.443, 36.8, 34
2.431, 37.0, 27
1.981, 45.8, 19
1.803, 50.6, 40
1.552, 59.6, 27


No. 2
The following is a computed X-ray powder pattern of Pa2Si3. It was derived from a structure optimized by DFT (PBE), using Cu Ka.
Intensities are scaled so that the largest is 100.

Structure:
a = 3.785 Å, b = 5.920 Å, c = 8.692 Å
α = 90.00°, β = 90.00°, γ = 90.00°
Fractional coordinates of all 10 atoms:
1 Pa 0.000 0.000 0.229
2 Pa 0.000 0.000 0.771
3 Pa 0.500 0.500 0.271
4 Pa 0.500 0.500 0.729
5 Si 0.000 0.300 0.500
6 Si 0.000 0.500 0.000
7 Si 0.000 0.700 0.500
8 Si 0.500 0.000 0.500
9 Si 0.500 0.200 0.000
10 Si 0.500 0.800 0.000

Top 10 peaks for 15° ≤ 2θ ≤ 90°, sorted by position:
d [Å], two_theta, Rel. int.
4.346, 20.4, 47
3.189, 28.0, 62
2.960, 30.2, 29
2.571, 34.9, 100
2.447, 36.7, 39
2.173, 41.6, 15
1.796, 50.8, 18
1.751, 52.3, 25
1.623, 56.7, 19
1.497, 62.0, 17


No. 3
The following is a computed X-ray powder pattern of SmSc2Au4. It was derived from a structure optimized by DFT (PBE), using Cu Ka.
Intensities are scaled so that the largest is 100.

Structure:
a = 4.849 Å, b = 4.849 Å, c = 6.780 Å
α = 90.00°, β = 90.00°, γ = 90.00°
Fractional coordinates of all 7 atoms:
1 Sm 0.000 0.000 0.000
2 Sc 0.000 0.000 0.500
3 Sc 0.500 0.500 0.000
4 Au 0.000 0.500 0.269
5 Au 0.000 0.500 0.731
6 Au 0.500 0.000 0.269
7 Au 0.500 0.000 0.731

Top 10 peaks for 15° ≤ 2θ ≤ 90°, sorted by position:
d [Å], two_theta, Rel. int.
3.429, 26.0, 37
3.390, 26.3, 17
3.060, 29.2, 11
2.425, 37.1, 53
2.411, 37.3, 100
1.972, 46.0, 16
1.715, 53.4, 19
1.397, 67.0, 36
1.389, 67.4, 15
1.205, 79.5, 10


No. 4
The following is a computed X-ray powder pattern of Rb2TlP2. It was derived from a structure optimized by DFT (PBE), using Cu Ka.
Intensities are scaled so that the largest is 100.

Structure:
a = 7.707 Å, b = 7.707 Å, c = 5.462 Å
α = 90.00°, β = 90.00°, γ = 90.00°
Fractional coordinates of all 10 atoms:
1 Rb 0.183 0.317 0.000
2 Rb 0.317 0.817 0.000
3 Rb 0.683 0.183 0.000
4 Rb 0.817 0.683 0.000
5 Tl 0.000 0.000 0.500
6 Tl 0.500 0.500 0.500
7 P 0.097 0.597 0.500
8 P 0.403 0.097 0.500
9 P 0.597 0.903 0.500
10 P 0.903 0.403 0.500

Top 10 peaks for 15° ≤ 2θ ≤ 90°, sorted by position:
d [Å], two_theta, Rel. int.
5.452, 16.3, 32
3.857, 23.1, 57
3.149, 28.3, 100
2.915, 30.7, 34
2.728, 32.8, 53
2.438, 36.9, 49
1.929, 47.1, 20
1.818, 50.2, 29
1.724, 53.1, 25
1.457, 63.9, 28


No. 5
The following is a computed X-ray powder pattern of Co3IrRh2. It was derived from a structure optimized by DFT (PBE), using Cu Ka.
Intensities are scaled so that the largest is 100.

Structure:
a = 5.871 Å, b = 5.871 Å, c = 4.641 Å
α = 90.00°, β = 90.00°, γ = 96.48°
Fractional coordinates of all 12 atoms:
1 Co 0.056 0.944 0.750
2 Co 0.275 0.275 0.000
3 Co 0.275 0.275 0.500
4 Co 0.725 0.725 0.000
5 Co 0.725 0.725 0.500
6 Co 0.944 0.056 0.250
7 Ir 0.338 0.662 0.750
8 Ir 0.662 0.338 0.250
9 Rh 0.078 0.595 0.250
10 Rh 0.405 0.922 0.250
11 Rh 0.595 0.078 0.750
12 Rh 0.922 0.405 0.750

Top 10 peaks for 15° ≤ 2θ ≤ 90°, sorted by position:
d [Å], two_theta, Rel. int.
3.185, 28.0, 20
2.735, 32.7, 20
2.356, 38.2, 25
2.321, 38.8, 22
2.200, 41.0, 100
2.050, 44.2, 36
1.944, 46.7, 21
1.910, 47.6, 21
1.768, 51.7, 28
1.315, 71.8, 19


No. 6
The following is a computed X-ray powder pattern of PtO2F4. It was derived from a structure optimized by DFT (PBE), using Cu Ka.
Intensities are scaled so that the largest is 100.

Structure:
a = 3.284 Å, b = 4.284 Å, c = 7.452 Å
α = 95.03°, β = 102.51°, γ = 90.01°
Fractional coordinates of all 7 atoms:
1 Pt 0.000 0.000 0.000
2 O 0.256 0.158 0.513
3 O 0.744 0.842 0.487
4 F 0.105 0.313 0.213
5 F 0.447 0.201 0.892
6 F 0.553 0.799 0.108
7 F 0.895 0.687 0.787

Top 10 peaks for 15° ≤ 2θ ≤ 90°, sorted by position:
d [Å], two_theta, Rel. int.
4.267, 20.8, 100
3.830, 23.2, 63
3.623, 24.6, 61
3.540, 25.2, 41
3.203, 27.9, 76
2.893, 30.9, 39
2.647, 33.9, 40
2.586, 34.7, 69
2.348, 38.3, 26
1.996, 45.4, 34


No. 7
The following is a computed X-ray powder pattern of Ti3NbGa4. It was derived from a structure optimized by DFT (PBE), using Cu Ka.
Intensities are scaled so that the largest is 100.

Structure:
a = 8.199 Å, b = 5.657 Å, c = 5.634 Å
α = 90.00°, β = 90.00°, γ = 90.00°
Fractional coordinates of all 16 atoms:
1 Ti 0.000 0.000 0.000
2 Ti 0.250 0.252 0.250
3 Ti 0.250 0.748 0.750
4 Ti 0.500 0.000 0.500
5 Ti 0.750 0.252 0.250
6 Ti 0.750 0.748 0.750
7 Nb 0.000 0.500 0.000
8 Nb 0.500 0.500 0.500
9 Ga 0.000 0.000 0.500
10 Ga 0.000 0.500 0.500
11 Ga 0.250 0.247 0.750
12 Ga 0.250 0.753 0.250
13 Ga 0.500 0.000 0.000
14 Ga 0.500 0.500 0.000
15 Ga 0.750 0.247 0.750
16 Ga 0.750 0.753 0.250

Top 10 peaks for 15° ≤ 2θ ≤ 90°, sorted by position:
d [Å], two_theta, Rel. int.
2.328, 38.7, 100
2.322, 38.8, 99
2.050, 44.2, 34
1.996, 45.4, 62
1.430, 65.2, 40
1.230, 77.6, 24
1.208, 79.3, 22
1.205, 79.5, 22
1.164, 82.9, 10
1.161, 83.2, 10


No. 8
The following is a computed X-ray powder pattern of NaSb2C2. It was derived from a structure optimized by DFT (PBE), using Cu Ka.
Intensities are scaled so that the largest is 100.

Structure:
a = 5.305 Å, b = 5.305 Å, c = 6.345 Å
α = 90.00°, β = 90.00°, γ = 90.00°
Fractional coordinates of all 10 atoms:
1 Na 0.000 0.000 0.000
2 Na 0.500 0.500 0.500
3 Sb 0.000 0.500 0.250
4 Sb 0.000 0.500 0.750
5 Sb 0.500 0.000 0.250
6 Sb 0.500 0.000 0.750
7 C 0.000 0.000 0.394
8 C 0.000 0.000 0.606
9 C 0.500 0.500 0.106
10 C 0.500 0.500 0.894

Top 10 peaks for 15° ≤ 2θ ≤ 90°, sorted by position:
d [Å], two_theta, Rel. int.
3.751, 23.7, 81
3.173, 28.1, 32
2.653, 33.8, 73
2.422, 37.1, 100
2.035, 44.5, 37
1.876, 48.5, 25
1.678, 54.7, 18
1.615, 57.0, 18
1.483, 62.6, 41
1.461, 63.7, 15


Question: What is the formula in the fifth record?
Answer: Co3IrRh2